Record 1
CsRbGaI3: calculated powder X-ray diffraction pattern (Cu Ka), based on a structure optimized by DFT (GGA-PBE).
Kinematic intensities with the Lorentz-polarization factor, no thermal factor.

```
CsRbGaI3
1.0
10.2022 -3.0175 0.0000
10.2022 3.0175 0.0000
-2.4840 0.0000 9.7601
Cs Rb Ga I
2 2 2 6
Cartesian
2.7904 0.0000 0.7079
15.1300 0.0000 9.0522
1.7170 0.0000 5.6042
16.2035 0.0000 4.1559
9.3321 0.0000 3.3860
8.5883 0.0000 6.3741
-0.6529 0.0000 2.5677
18.5733 0.0000 7.1924
5.3334 0.0000 6.4625
6.5531 0.0000 1.8040
11.3673 0.0000 7.9561
12.5871 0.0000 3.2976
```

Most intense lines, 15° ≤ 2θ ≤ 90°, by angle:
2theta  d_spacing  I_rel
23.00  3.866  62
24.72  3.601  53
27.06  3.296  56
29.33  3.046  100
29.60  3.018  54
40.53  2.226  37

=====

Record 2
MgNiSe: calculated powder X-ray diffraction pattern (Cu Ka), based on a structure optimized by DFT (GGA-PBE).
Kinematic intensities with the Lorentz-polarization factor, no thermal factor.

```
MgNiSe
1.0
4.6157 -1.8325 0.0000
4.6157 1.8325 0.0000
-2.4857 0.0000 6.5496
Mg Ni Se
2 2 2
Cartesian
0.0000 0.0000 0.0000
3.9954 0.0000 2.5471
2.6618 0.0000 0.0272
6.8828 0.0000 1.5065
1.3465 0.0000 2.7006
3.9754 0.0000 5.3314
```

Most intense lines, 15° ≤ 2θ ≤ 90°, by angle:
2theta  d_spacing  I_rel
20.23  4.389  54
20.58  4.315  100
38.28  2.351  53
40.99  2.202  93
41.70  2.166  43
46.30  1.961  58